1.
This entry pairs a crystal structure of LiTe2Pd4 with its theoretical X-ray powder pattern. Radiation: Cu Kα (weighted mean of Kα1 and Kα2). Structure: a crystal structure in Alexandria, relaxed with GGA-PBE.

The 12 most intense peaks (10 to 90 degrees two-theta), most intense first:
2θ = 40.18°, I 100, (1 1 2); 2θ = 39.93°, I 51, (2 0 0); 2θ = 24.23°, I 48, (1 0 1); 2θ = 72.67°, I 34, (3 1 2); 2θ = 57.74°, I 17, (2 2 0); 2θ = 73.18°, I 17, (2 0 4); 2θ = 47.26°, I 16, (2 1 1); 2θ = 86.77°, I 11, (2 2 4); 2θ = 27.94°, I 9, (1 1 0); 2θ = 58.49°, I 8, (0 0 4); 2θ = 47.69°, I 8, (1 0 3); 2θ = 63.89°, I 6, (2 1 3)

Structural model:
a b c (Å): 4.5159 4.5159 6.3116
angles (deg): 90.00 90.00 90.00
Space group P4/mmm (No. 123)
Symmetry-distinct sites (fractional):
Li  0.0000  0.0000  0.0000 x1
Te  0.0000  0.0000  0.5000 x1
Te  0.5000  0.5000  0.0000 x1
Pd  0.0000  0.5000  0.2520 x4

***

2.
This entry pairs a crystal structure of Ba6AsAu with its theoretical X-ray powder pattern. Radiation: Cu Kα (weighted mean of Kα1 and Kα2). Structure: a crystal structure in Alexandria, relaxed with GGA-PBE.

The 12 most intense peaks (10 to 90 degrees two-theta), most intense first:
2θ = 24.89°, I 100, (1 1 2); 2θ = 32.07°, I 49, (2 -1 4); 2θ = 38.64°, I 37, (3 0 0); 2θ = 41.59°, I 25, (2 -1 6); 2θ = 13.90°, I 24, (1 0 1); 2θ = 46.51°, I 18, (4 -2 2); 2θ = 62.44°, I 18, (3 0 8); 2θ = 17.10°, I 16, (1 0 2); 2θ = 62.01°, I 15, (4 1 2); 2θ = 51.06°, I 13, (2 2 4); 2θ = 65.82°, I 12, (5 -1 4); 2θ = 23.02°, I 11, (0 0 4)

Structural model:
a b c (Å): 8.0726 8.0726 15.4550
angles (deg): 90.00 90.00 120.00
Space group P-31c (No. 163)
Symmetry-distinct sites (fractional):
Ba  0.0033  0.3305  0.1234 x12
As  0.0000  0.0000  0.0000 x2
Au  0.3333  0.6667  0.2500 x2

***

3.
This entry pairs a crystal structure of Sr3Sc2Cu2S2O5 with its theoretical X-ray powder pattern. Radiation: Cu Kα (weighted mean of Kα1 and Kα2). Structure: a crystal structure in Alexandria, relaxed with GGA-PBE.

The 12 most intense peaks (10 to 90 degrees two-theta), most intense first:
2θ = 32.43°, I 100, (1 0 7); 2θ = 37.27°, I 61, (1 1 6); 2θ = 44.22°, I 55, (2 0 0); 2θ = 55.90°, I 40, (2 1 7); 2θ = 58.81°, I 28, (1 1 14); 2θ = 30.87°, I 20, (1 1 0); 2θ = 31.64°, I 20, (1 1 2); 2θ = 64.32°, I 17, (2 2 0); 2θ = 33.85°, I 15, (1 1 4); 2θ = 76.76°, I 12, (3 1 6); 2θ = 21.96°, I 10, (1 0 1); 2θ = 27.27°, I 9, (0 0 8)

Structural model:
a b c (Å): 4.0963 4.0963 26.1584
angles (deg): 90.00 90.00 90.00
Space group I4/mmm (No. 139)
Symmetry-distinct sites (fractional):
Sr  0.0000  0.0000  0.0000 x2
Sr  0.0000  0.0000  0.1449 x4
Sc  0.0000  0.0000  0.4237 x4
Cu  0.0000  0.5000  0.2500 x4
S  0.0000  0.0000  0.3008 x4
O  0.0000  0.0000  0.5000 x2
O  0.0000  0.5000  0.0867 x8

***

4.
This entry pairs a crystal structure of Li4Ni with its theoretical X-ray powder pattern. Radiation: Cu Kα (weighted mean of Kα1 and Kα2). Structure: a crystal structure in Alexandria, relaxed with GGA-PBE.

The 12 most intense peaks (10 to 90 degrees two-theta), most intense first:
2θ = 15.22°, I 100, (1 0 0); 2θ = 21.59°, I 39, (1 1 0); 2θ = 34.45°, I 28, (2 1 0); 2θ = 39.79°, I 18, (1 0 2); 2θ = 42.83°, I 17, (1 1 2); 2θ = 51.09°, I 16, (2 1 2); 2θ = 48.46°, I 13, (2 0 2); 2θ = 30.72°, I 13, (2 0 0); 2θ = 49.52°, I 12, (3 1 0); 2θ = 44.00°, I 8, (2 2 0); 2θ = 69.67°, I 6, (3 2 2); 2θ = 63.09°, I 6, (3 1 2)

Structural model:
a b c (Å): 5.8205 5.8205 4.9188
angles (deg): 90.00 90.00 90.00
Space group P4/mcc (No. 124)
Symmetry-distinct sites (fractional):
Li  0.1624  0.3238  0.0000 x8
Ni  0.5000  0.5000  0.2500 x2